1.
CuAs2PdO8: calculated X-ray powder pattern (λ = 1.5418 Å (Cu Kα)), based on DFT lattice parameters and positions (GGA-PBE).
Kinematic intensities with the Lorentz-polarization factor, no thermal factor.

The 12 most intense peaks (2θ from 10° to 90°), by intensity:
2theta	I_rel	index
26.79	100	2 0 0
33.91	76	1 1 2
52.04	62	3 1 2
66.40	19	3 3 2
38.26	18	2 2 0
55.21	16	4 0 0
64.73	14	2 0 4
62.41	12	4 2 0
79.30	12	5 1 2
71.37	10	2 2 4
83.99	7	4 0 4
57.71	5	0 0 4

Crystal structure
abc: 6.6544 6.6544 6.3899
angles: 90.00 90.00 90.00
Space group I-4m2 (No. 119)
Unique sites:
1 Cu 0.0000 0.0000 0.0000 (multiplicity 2)
2 As 0.0000 0.0000 0.5000 (multiplicity 2)
3 As 0.0000 0.5000 0.2500 (multiplicity 2)
4 Pd 0.0000 0.5000 0.7500 (multiplicity 2)
5 O 0.0000 0.1854 0.6931 (multiplicity 8)
6 O 0.0000 0.3086 0.0654 (multiplicity 8)

***

2.
Rb2Cu2AsO6: calculated X-ray powder pattern (λ = 1.5418 Å (Cu Kα)), based on DFT lattice parameters and positions (GGA-PBE).
Kinematic intensities with the Lorentz-polarization factor, no thermal factor.

The 12 most intense peaks (2θ from 10° to 90°), by intensity:
2theta	I_rel	index
30.54	100	0 1 5
31.41	84	1 1 0
55.38	41	1 2 5
44.38	25	2 0 5
55.92	15	3 0 0
65.56	15	2 2 0
74.03	14	3 1 5
53.74	14	1 0 10
72.64	13	2 1 10
39.20	9	1 0 7
37.79	8	2 0 2
14.62	7	0 0 3

Crystal structure
abc: 5.6959 5.6959 18.1799
angles: 90.00 90.00 120.00
Space group R-3m (No. 166, hexagonal axes)
Unique sites:
1 Rb 0.0000 0.0000 0.2089 (multiplicity 6)
2 Cu 0.0000 0.0000 0.3866 (multiplicity 6)
3 As 0.0000 0.0000 0.0000 (multiplicity 3)
4 O 0.0361 0.5181 0.7307 (multiplicity 18)

***

3.
Sm2CuAs3O: calculated X-ray powder pattern (λ = 1.5418 Å (Cu Kα)), based on DFT lattice parameters and positions (GGA-PBE).
Kinematic intensities with the Lorentz-polarization factor, no thermal factor.

The 12 most intense peaks (2θ from 10° to 90°), by intensity:
2theta	I_rel	index
35.32	100	6 1 1
34.17	93	10 1 0
37.96	88	8 1 1
24.50	77	4 1 0
27.09	56	6 0 1
45.41	43	0 2 0
36.17	43	14 0 0
45.32	41	0 0 2
59.34	37	14 2 0
57.99	36	10 2 1
66.10	26	0 2 2
52.62	23	18 1 0

Crystal structure
abc: 34.7727 3.9946 4.0036
angles: 90.00 90.00 90.00
Space group Pnma (No. 62)
Unique sites:
1 Sm 0.0332 0.2500 0.2491 (multiplicity 4)
2 Sm 0.1755 0.7500 0.6924 (multiplicity 4)
3 Cu 0.2500 0.2500 0.6904 (multiplicity 4)
4 As 0.1057 0.2500 0.7503 (multiplicity 4)
5 As 0.1070 0.7500 0.1718 (multiplicity 4)
6 As 0.2057 0.2500 0.1909 (multiplicity 4)
7 O 0.9999 0.2500 0.7489 (multiplicity 4)

***

4.
SrCu4As3O12: calculated X-ray powder pattern (λ = 1.5418 Å (Cu Kα)), based on DFT lattice parameters and positions (GGA-PBE).
Kinematic intensities with the Lorentz-polarization factor, no thermal factor.

The 12 most intense peaks (2θ from 10° to 90°), by intensity:
2theta	I_rel	index
31.16	100	2 0 2
29.22	68	3 0 0
28.46	55	2 1 1
56.02	39	5 0 2
40.52	36	1 1 3
49.93	34	2 3 2
37.41	34	1 3 1
63.34	24	5 2 0
53.67	17	0 2 4
72.81	17	0 5 4
67.64	17	3 2 4
54.39	17	2 4 1

Crystal structure
abc: 10.5888 10.5888 7.3606
angles: 90.00 90.00 120.00
Space group R32 (No. 155, hexagonal axes)
Unique sites:
1 Sr 0.0000 0.0000 0.0000 (multiplicity 3)
2 Cu 0.0000 0.0000 0.5000 (multiplicity 3)
3 Cu 0.0000 0.3857 0.5000 (multiplicity 9)
4 As 0.0000 0.5779 0.0000 (multiplicity 9)
5 O 0.0000 0.5913 0.5000 (multiplicity 9)
6 O 0.0000 0.8182 0.5000 (multiplicity 9)
7 O 0.0731 0.2150 0.2151 (multiplicity 18)

***

5.
TbCuAs2O8: calculated X-ray powder pattern (λ = 1.5418 Å (Cu Kα)), based on DFT lattice parameters and positions (GGA-PBE).
Kinematic intensities with the Lorentz-polarization factor, no thermal factor.

The 12 most intense peaks (2θ from 10° to 90°), by intensity:
2theta	I_rel	index
25.37	100	2 0 0
33.54	71	1 1 2
50.16	60	3 1 2
36.18	21	2 2 0
63.39	18	3 3 2
52.10	17	4 0 0
18.86	15	1 0 1
58.81	14	4 2 0
75.22	13	5 1 2
64.51	12	2 0 4
87.43	12	4 2 4
86.43	11	5 3 2

Crystal structure
abc: 7.0226 7.0226 6.3399
angles: 90.00 90.00 90.00
Space group I-4m2 (No. 119)
Unique sites:
1 Tb 0.0000 0.0000 0.0000 (multiplicity 2)
2 Cu 0.0000 0.5000 0.7500 (multiplicity 2)
3 As 0.0000 0.0000 0.5000 (multiplicity 2)
4 As 0.0000 0.5000 0.2500 (multiplicity 2)
5 O 0.0000 0.1854 0.6805 (multiplicity 8)
6 O 0.0000 0.3188 0.0697 (multiplicity 8)

***

6.
TlCuAsO4: calculated X-ray powder pattern (λ = 1.5418 Å (Cu Kα)), based on DFT lattice parameters and positions (GGA-PBE).
Kinematic intensities with the Lorentz-polarization factor, no thermal factor.

The 12 most intense peaks (2θ from 10° to 90°), by intensity:
2theta	I_rel	index
26.33	100	2 0 -2
29.11	97	1 1 -5
30.35	87	1 1 5
22.13	76	1 1 -3
23.09	64	1 1 3
35.35	64	2 2 0
28.49	54	0 2 3
25.05	51	2 0 0
24.54	42	0 2 0
45.87	38	3 1 -5
27.39	32	2 0 2
41.84	25	3 1 -3

Crystal structure
abc: 7.1210 7.2558 18.6697
angles: 90.00 93.44 90.00
Space group C2/c (No. 15)
Unique sites:
1 Tl 0.0108 0.2069 0.0640 (multiplicity 8)
2 Cu 0.2495 0.0727 0.7496 (multiplicity 8)
3 As 0.0190 0.3219 0.8519 (multiplicity 8)
4 O 0.1114 0.1217 0.6604 (multiplicity 8)
5 O 0.1110 0.4765 0.1614 (multiplicity 8)
6 O 0.1258 0.3268 0.9354 (multiplicity 8)
7 O 0.1922 0.3222 0.7861 (multiplicity 8)

***

7.
Tl2CuAsO4: calculated X-ray powder pattern (λ = 1.5418 Å (Cu Kα)), based on DFT lattice parameters and positions (GGA-PBE).
Kinematic intensities with the Lorentz-polarization factor, no thermal factor.

The 12 most intense peaks (2θ from 10° to 90°), by intensity:
2theta	I_rel	index
28.88	100	1 1 -2
24.12	86	1 1 1
30.93	43	0 2 0
31.90	40	2 1 0
28.66	36	2 0 -1
26.62	29	0 1 2
32.70	27	0 0 3
45.63	23	0 2 3
31.28	20	1 1 2
42.68	18	2 2 -1
22.60	17	1 1 -1
27.11	16	1 0 2

Crystal structure
abc: 6.4609 5.7817 8.2718
angles: 90.00 96.70 90.00
Space group P2_1 (No. 4)
Unique sites:
1 Tl 0.1325 0.0000 0.1633 (multiplicity 2)
2 Tl 0.2714 0.5105 0.4818 (multiplicity 2)
3 Cu 0.4257 0.3503 0.0126 (multiplicity 2)
4 As 0.2229 0.0363 0.7391 (multiplicity 2)
5 O 0.0216 0.9246 0.8340 (multiplicity 2)
6 O 0.1586 0.0607 0.5331 (multiplicity 2)
7 O 0.2718 0.3213 0.8110 (multiplicity 2)
8 O 0.4515 0.8747 0.7758 (multiplicity 2)

***

8.
TmCuAs2O8: calculated X-ray powder pattern (λ = 1.5418 Å (Cu Kα)), based on DFT lattice parameters and positions (GGA-PBE).
Kinematic intensities with the Lorentz-polarization factor, no thermal factor.

The 12 most intense peaks (2θ from 10° to 90°), by intensity:
2theta	I_rel	index
25.73	100	2 0 0
33.80	73	1 1 2
50.75	61	3 1 2
36.70	21	2 2 0
19.03	19	1 0 1
64.25	18	3 3 2
52.88	16	4 0 0
59.71	13	4 2 0
76.34	13	5 1 2
64.97	13	2 0 4
18.12	12	1 1 0
88.47	12	4 2 4

Crystal structure
abc: 6.9254 6.9254 6.3096
angles: 90.00 90.00 90.00
Space group I-4m2 (No. 119)
Unique sites:
1 Tm 0.0000 0.0000 0.0000 (multiplicity 2)
2 Cu 0.0000 0.5000 0.2500 (multiplicity 2)
3 As 0.0000 0.0000 0.5000 (multiplicity 2)
4 As 0.0000 0.5000 0.7500 (multiplicity 2)
5 O 0.0000 0.1858 0.3159 (multiplicity 8)
6 O 0.0000 0.3157 0.9302 (multiplicity 8)